# 1
DyIn6Cu6: theoretical powder diffraction line list (a wavelength of 1.5418 Å), based on a cell relaxed with PBE.
Intensities are scaled so that the largest is 1000.

Structural model:
a = 7.0544 Å, b = 7.0544 Å, c = 7.0544 Å
α = 133.49°, β = 99.18°, γ = 98.75°
Element x y z (fractional)
Dy 0.0000 0.0000 0.0000
In 0.1858 0.6858 0.5000
In 0.3356 0.0000 0.3356
In 0.3418 0.3418 0.0000
In 0.6582 0.6582 0.0000
In 0.6644 0.0000 0.6644
In 0.8142 0.3142 0.5000
Cu 0.0000 0.0000 0.5000
Cu 0.0000 0.5000 0.0000
Cu 0.2348 0.5000 0.7348
Cu 0.5000 0.0000 0.0000
Cu 0.5000 0.5000 0.5000
Cu 0.7652 0.5000 0.2652

The 8 most intense peaks (2θ = 10–90°), low angle first:
2θ = 32.1°, rel. 338
2θ = 33.4°, rel. 581
2θ = 37.8°, rel. 615
2θ = 38.9°, rel. 1000
2θ = 39.4°, rel. 303
2θ = 42.8°, rel. 445
2θ = 61.9°, rel. 247
2θ = 71.1°, rel. 226


# 2
Rb4MgCuSi2O7: theoretical powder diffraction line list (a wavelength of 1.5418 Å), based on a cell relaxed with PBE.
Intensities are scaled so that the largest is 1000.

Structural model:
a = 6.1987 Å, b = 7.2457 Å, c = 7.6872 Å
α = 67.71°, β = 69.71°, γ = 75.73°
Element x y z (fractional)
Rb 0.0000 0.0000 0.0000
Rb 0.1453 0.5924 0.8045
Rb 0.2938 0.0842 0.3874
Rb 0.6817 0.3465 0.6756
Mg 0.7139 0.4247 0.2304
Cu 0.5235 0.6864 0.9340
Si 0.1287 0.5733 0.3626
Si 0.7910 0.9203 0.5440
O 0.0124 0.7949 0.4065
O 0.1490 0.3954 0.5636
O 0.4012 0.6052 0.2132
O 0.5693 0.7867 0.6587
O 0.7275 0.1363 0.3815
O 0.8862 0.9519 0.7015
O 0.9645 0.5357 0.2523

The 8 most intense peaks (2θ = 10–90°), low angle first:
2θ = 21.5°, rel. 576
2θ = 25.4°, rel. 602
2θ = 26.1°, rel. 920
2θ = 26.3°, rel. 496
2θ = 30.1°, rel. 991
2θ = 30.9°, rel. 579
2θ = 32.2°, rel. 835
2θ = 32.9°, rel. 1000


# 3
Nb5S8: theoretical powder diffraction line list (a wavelength of 1.5418 Å), based on a cell relaxed with PBE.
Intensities are scaled so that the largest is 1000.

Structural model:
a = 5.8160 Å, b = 5.8160 Å, c = 25.4342 Å
α = 90.00°, β = 90.00°, γ = 120.00°
Element x y z (fractional)
Nb 0.0000 0.0000 0.0000
Nb 0.0000 0.0000 0.1258
Nb 0.0000 0.0000 0.3758
Nb 0.0000 0.0000 0.6242
Nb 0.0000 0.0000 0.8742
Nb 0.3333 0.6667 0.1246
Nb 0.3333 0.6667 0.2520
Nb 0.3333 0.6667 0.3765
Nb 0.3333 0.6667 0.6235
Nb 0.3333 0.6667 0.7480
Nb 0.3333 0.6667 0.8754
Nb 0.6667 0.3333 0.1251
Nb 0.6667 0.3333 0.3758
Nb 0.6667 0.3333 0.6242
Nb 0.6667 0.3333 0.8749
S 0.0007 0.3338 0.6868
S 0.0007 0.6668 0.3132
S 0.3333 0.0009 0.5627
S 0.3333 0.3324 0.4373
S 0.3332 0.3338 0.3132
S 0.3332 0.9993 0.6868
S 0.3345 0.0007 0.0629
S 0.3347 0.0015 0.1875
S 0.3347 0.3332 0.8125
S 0.3345 0.3338 0.9371
S 0.6662 0.0007 0.9371
S 0.6662 0.6655 0.0629
S 0.6662 0.6668 0.6868
S 0.6662 0.9993 0.3132
S 0.6668 0.0015 0.8125
S 0.6668 0.6653 0.1875
S 0.6676 0.0009 0.4373
S 0.6676 0.6667 0.5627
S 0.9991 0.3324 0.5627
S 0.9985 0.3332 0.1875
S 0.9993 0.3338 0.0629
S 0.9985 0.6653 0.8125
S 0.9993 0.6655 0.9371
S 0.9991 0.6667 0.4373

The 8 most intense peaks (2θ = 10–90°), low angle first:
2θ = 13.9°, rel. 632
2θ = 30.7°, rel. 389
2θ = 31.6°, rel. 172
2θ = 33.9°, rel. 412
2θ = 42.1°, rel. 1000
2θ = 54.7°, rel. 328
2θ = 71.3°, rel. 198
2θ = 83.8°, rel. 189